For Na2Pr4Cl9O2, the GGA-PBE geometry in Alexandria gives the computed X-ray diffraction stick pattern in this record (Cu Kα).
No peak broadening, texture or thermal motion is included.

Main lines, in order of rising 2θ (2θ = 15–90°):
(0 2 2), 25.07 deg, d = 3.551 Å, intensity 100.0
(1 3 0), 25.62 deg, d = 3.477 Å, intensity 28.2
(1 3 -2), 30.49 deg, d = 2.932 Å, intensity 28.7
(0 4 0), 30.85 deg, d = 2.899 Å, intensity 43.6
(2 3 0), 32.30 deg, d = 2.771 Å, intensity 67.8
(1 2 -3), 32.68 deg, d = 2.740 Å, intensity 78.4
(0 2 3), 33.75 deg, d = 2.656 Å, intensity 56.7
(3 1 0), 34.74 deg, d = 2.582 Å, intensity 38.2
(3 2 -2), 37.38 deg, d = 2.406 Å, intensity 32.0
(2 2 2), 37.68 deg, d = 2.387 Å, intensity 31.1

Structural model:
```
Na2Pr4Cl9O2
1.0
8.3070 0.0000 0.0000
0.0000 11.6018 0.0000
-2.7262 0.0000 8.9638
Na Pr Cl O
4 8 18 4
direct
0.2264 0.0164 0.4314
0.2264 0.4836 0.4314
0.7736 0.5164 0.5686
0.7736 0.9836 0.5686
0.2798 0.5472 0.9549
0.2798 0.9528 0.9549
0.3685 0.2500 0.7804
0.3886 0.2500 0.1644
0.6114 0.7500 0.8356
0.6315 0.7500 0.2196
0.7202 0.0472 0.0451
0.7202 0.4528 0.0451
0.0998 0.0794 0.6865
0.0998 0.4206 0.6865
0.1049 0.0956 0.1196
0.1049 0.4044 0.1196
0.2417 0.7500 0.7548
0.2641 0.7500 0.1415
0.3207 0.2500 0.4588
0.4984 0.0037 0.2990
0.4984 0.4963 0.2990
0.5016 0.5037 0.7010
0.5016 0.9963 0.7010
0.6793 0.7500 0.5412
0.7359 0.2500 0.8585
0.7583 0.2500 0.2452
0.8951 0.5956 0.8804
0.8951 0.9044 0.8804
0.9002 0.5794 0.3135
0.9002 0.9206 0.3135
0.4465 0.1194 0.9854
0.4465 0.3806 0.9854
0.5535 0.6194 0.0146
0.5535 0.8806 0.0146
```